For Ba2Gd2Co4O11, a cell relaxed with GGA+U gives the calculated X-ray powder pattern in this record (Cu Ka).
Kinematic intensities with the Lorentz-polarization factor, no thermal factor.

Main lines, most intense first (2θ = 10–90°):
- 32.8°, I = 100
- 32.4°, I = 47
- 58.0°, I = 37
- 40.3°, I = 21
- 58.9°, I = 20
- 46.4°, I = 16
- 22.7°, I = 14
- 46.5°, I = 14
- 47.8°, I = 12
- 67.8°, I = 8

```
Ba2Gd2Co4O11
1.0
3.915 0.000 0.000
0.000 7.616 0.000
0.000 0.000 7.808
Ba Gd Co O
2 2 4 11
direct
0.000 0.000 0.250
0.000 0.000 0.750
0.000 0.500 0.230
0.000 0.500 0.770
0.500 0.249 0.500
0.500 0.253 0.000
0.500 0.747 0.000
0.500 0.751 0.500
0.000 0.278 0.000
0.000 0.301 0.500
0.000 0.699 0.500
0.000 0.722 0.000
0.500 0.000 0.000
0.500 0.000 0.500
0.500 0.300 0.269
0.500 0.300 0.731
0.500 0.500 0.000
0.500 0.700 0.269
0.500 0.700 0.731
```